Record 1
Structure and simulated powder X-ray diffraction pattern of Rb4FeO4 (a PBE+U-relaxed structure; Cu Kα).

Crystal structure
Cell lengths 6.731, 6.780, 9.789 Å; angles 71.43, 79.88, 69.13 degrees
Positions (direct):
Rb  0.220  0.415  0.350
Rb  0.232  0.958  0.129
Rb  0.268  0.535  0.926
Rb  0.277  0.791  0.526
Rb  0.723  0.209  0.474
Rb  0.732  0.465  0.074
Rb  0.768  0.042  0.871
Rb  0.780  0.585  0.650
Fe  0.253  0.165  0.747
Fe  0.747  0.835  0.253
O  0.049  0.294  0.873
O  0.080  0.159  0.623
O  0.422  0.343  0.695
O  0.445  0.884  0.802
O  0.555  0.116  0.198
O  0.578  0.657  0.305
O  0.920  0.841  0.377
O  0.951  0.706  0.127

Principal peaks in the range 2θ from 10° to 90°, by intensity:
28.45 deg, d 3.138, rel. 1000
29.19 deg, d 3.059, rel. 970
32.39 deg, d 2.764, rel. 862
28.21 deg, d 3.164, rel. 751
32.19 deg, d 2.781, rel. 670
28.56 deg, d 3.125, rel. 547

Record 2
Structure and simulated powder X-ray diffraction pattern of Rb6Fe2O5 (a PBE+U-relaxed structure; Cu Kα).

Crystal structure
Cell lengths 7.051, 7.051, 7.105 Å; angles 92.19, 92.19, 117.65 degrees
Positions (direct):
Rb  0.000  0.000  0.000
Rb  0.287  0.287  0.645
Rb  0.395  0.882  0.327
Rb  0.428  0.849  0.821
Rb  0.849  0.428  0.821
Rb  0.882  0.395  0.327
Fe  0.434  0.434  0.154
Fe  0.827  0.827  0.519
O  0.077  0.804  0.596
O  0.207  0.480  0.046
O  0.480  0.207  0.046
O  0.581  0.581  0.394
O  0.804  0.077  0.596

Principal peaks in the range 2θ from 10° to 90°, by intensity:
28.66 deg, d 3.115, rel. 1000
29.24 deg, d 3.055, rel. 897
36.66 deg, d 2.451, rel. 514
29.62 deg, d 3.016, rel. 469
28.18 deg, d 3.167, rel. 337
33.99 deg, d 2.638, rel. 219

Record 3
Structure and simulated powder X-ray diffraction pattern of Rb2FeO4 (a PBE+U-relaxed structure; Cu Kα).

Crystal structure
Cell lengths 8.134, 6.133, 10.848 Å; angles 90.00, 90.00, 90.00 degrees
Positions (direct):
Rb  0.013  0.250  0.195
Rb  0.166  0.750  0.412
Rb  0.334  0.250  0.912
Rb  0.487  0.750  0.695
Rb  0.513  0.250  0.305
Rb  0.666  0.750  0.088
Rb  0.834  0.250  0.588
Rb  0.987  0.750  0.805
Fe  0.233  0.750  0.079
Fe  0.267  0.250  0.579
Fe  0.733  0.750  0.421
Fe  0.767  0.250  0.921
O  0.029  0.750  0.085
O  0.194  0.028  0.649
O  0.194  0.472  0.649
O  0.203  0.250  0.433
O  0.297  0.750  0.933
O  0.306  0.528  0.149
O  0.306  0.972  0.149
O  0.471  0.250  0.585
O  0.529  0.750  0.415
O  0.694  0.028  0.851
O  0.694  0.472  0.851
O  0.703  0.250  0.067
O  0.797  0.750  0.567
O  0.806  0.528  0.351
O  0.806  0.972  0.351
O  0.971  0.250  0.915

Principal peaks in the range 2θ from 10° to 90°, by intensity:
28.66 deg, d 3.115, rel. 1000
27.57 deg, d 3.235, rel. 862
29.12 deg, d 3.066, rel. 715
24.49 deg, d 3.635, rel. 411
27.41 deg, d 3.254, rel. 370
40.42 deg, d 2.232, rel. 323

Record 4
Structure and simulated powder X-ray diffraction pattern of Rb5FeO4 (a PBE+U-relaxed structure; Cu Kα).

Crystal structure
Cell lengths 7.623, 10.971, 13.662 Å; angles 90.00, 121.54, 90.00 degrees
Positions (direct):
Rb  0.099  0.147  0.386
Rb  0.099  0.353  0.886
Rb  0.154  0.662  0.393
Rb  0.154  0.838  0.893
Rb  0.253  0.101  0.055
Rb  0.253  0.399  0.555
Rb  0.355  0.592  0.054
Rb  0.355  0.908  0.554
Rb  0.364  0.164  0.762
Rb  0.364  0.336  0.262
Rb  0.636  0.664  0.738
Rb  0.636  0.836  0.238
Rb  0.645  0.092  0.446
Rb  0.645  0.408  0.946
Rb  0.747  0.601  0.445
Rb  0.747  0.899  0.945
Rb  0.846  0.162  0.107
Rb  0.846  0.338  0.607
Rb  0.901  0.647  0.114
Rb  0.901  0.853  0.614
Fe  0.239  0.589  0.760
Fe  0.239  0.911  0.260
Fe  0.761  0.089  0.740
Fe  0.761  0.411  0.240
O  0.027  0.611  0.793
O  0.027  0.889  0.293
O  0.182  0.657  0.613
O  0.182  0.843  0.113
O  0.267  0.086  0.252
O  0.267  0.414  0.752
O  0.497  0.656  0.892
O  0.497  0.844  0.392
O  0.503  0.156  0.608
O  0.503  0.344  0.108
O  0.733  0.586  0.248
O  0.733  0.914  0.748
O  0.818  0.157  0.887
O  0.818  0.343  0.387
O  0.973  0.111  0.707
O  0.973  0.389  0.207

Principal peaks in the range 2θ from 10° to 90°, by intensity:
28.17 deg, d 3.168, rel. 1000
32.65 deg, d 2.743, rel. 367
34.77 deg, d 2.580, rel. 336
29.31 deg, d 3.047, rel. 258
28.53 deg, d 3.129, rel. 237
23.36 deg, d 3.808, rel. 234

Record 5
Structure and simulated powder X-ray diffraction pattern of Rb5FeO4 (a PBE+U-relaxed structure; Cu Kα).

Crystal structure
Cell lengths 11.062, 12.206, 7.125 Å; angles 90.00, 97.89, 90.00 degrees
Positions (direct):
Rb  0.005  0.135  0.424
Rb  0.005  0.365  0.924
Rb  0.132  0.069  0.950
Rb  0.132  0.431  0.450
Rb  0.264  0.704  0.505
Rb  0.264  0.796  0.005
Rb  0.351  0.176  0.667
Rb  0.351  0.324  0.167
Rb  0.489  0.578  0.229
Rb  0.489  0.922  0.729
Rb  0.511  0.078  0.271
Rb  0.511  0.422  0.771
Rb  0.649  0.676  0.833
Rb  0.649  0.824  0.333
Rb  0.736  0.204  0.995
Rb  0.736  0.296  0.495
Rb  0.868  0.569  0.550
Rb  0.868  0.931  0.050
Rb  0.995  0.635  0.076
Rb  0.995  0.865  0.576
Fe  0.247  0.533  0.884
Fe  0.247  0.967  0.384
Fe  0.753  0.033  0.616
Fe  0.753  0.467  0.116
O  0.105  0.600  0.741
O  0.105  0.900  0.241
O  0.230  0.535  0.152
O  0.230  0.965  0.652
O  0.260  0.120  0.307
O  0.260  0.380  0.807
O  0.393  0.614  0.846
O  0.393  0.886  0.346
O  0.607  0.114  0.654
O  0.607  0.386  0.154
O  0.740  0.620  0.193
O  0.740  0.880  0.693
O  0.770  0.035  0.348
O  0.770  0.465  0.848
O  0.895  0.100  0.759
O  0.895  0.400  0.259

Principal peaks in the range 2θ from 10° to 90°, by intensity:
32.56 deg, d 2.750, rel. 1000
28.53 deg, d 3.129, rel. 735
26.34 deg, d 3.384, rel. 551
31.10 deg, d 2.876, rel. 442
36.61 deg, d 2.454, rel. 441
25.44 deg, d 3.501, rel. 337

Record 6
Structure and simulated powder X-ray diffraction pattern of Rb5FeO4 (a PBE+U-relaxed structure; Cu Kα).

Crystal structure
Cell lengths 8.764, 7.375, 7.161 Å; angles 90.00, 90.00, 90.00 degrees
Positions (direct):
Rb  0.000  0.189  0.000
Rb  0.189  0.561  0.670
Rb  0.202  0.124  0.494
Rb  0.298  0.876  0.994
Rb  0.311  0.439  0.170
Rb  0.500  0.811  0.500
Rb  0.689  0.439  0.170
Rb  0.702  0.876  0.994
Rb  0.798  0.124  0.494
Rb  0.811  0.561  0.670
Fe  0.000  0.679  0.251
Fe  0.500  0.321  0.751
O  0.000  0.419  0.321
O  0.000  0.715  0.982
O  0.192  0.780  0.346
O  0.308  0.220  0.846
O  0.500  0.285  0.482
O  0.500  0.581  0.821
O  0.692  0.220  0.846
O  0.808  0.780  0.346

Principal peaks in the range 2θ from 10° to 90°, by intensity:
27.70 deg, d 3.221, rel. 1000
33.12 deg, d 2.705, rel. 938
34.16 deg, d 2.625, rel. 937
29.55 deg, d 3.023, rel. 509
26.74 deg, d 3.334, rel. 466
26.22 deg, d 3.399, rel. 455

Record 7
Structure and simulated powder X-ray diffraction pattern of Rb2Fe2O3 (a PBE+U-relaxed structure; Cu Kα).

Crystal structure
Cell lengths 12.097, 6.371, 8.232 Å; angles 90.00, 90.00, 90.00 degrees
Positions (direct):
Rb  0.058  0.250  0.123
Rb  0.121  0.750  0.497
Rb  0.379  0.250  0.997
Rb  0.442  0.750  0.623
Rb  0.558  0.250  0.377
Rb  0.621  0.750  0.003
Rb  0.879  0.250  0.503
Rb  0.942  0.750  0.877
Fe  0.145  0.250  0.720
Fe  0.227  0.750  0.902
Fe  0.273  0.250  0.402
Fe  0.355  0.750  0.220
Fe  0.645  0.250  0.780
Fe  0.727  0.750  0.598
Fe  0.773  0.250  0.098
Fe  0.855  0.750  0.280
O  0.124  0.250  0.486
O  0.146  0.501  0.848
O  0.146  0.999  0.848
O  0.354  0.001  0.348
O  0.354  0.499  0.348
O  0.376  0.750  0.986
O  0.624  0.250  0.014
O  0.646  0.501  0.652
O  0.646  0.999  0.652
O  0.854  0.001  0.152
O  0.854  0.499  0.152
O  0.876  0.750  0.514

Principal peaks in the range 2θ from 10° to 90°, by intensity:
28.35 deg, d 3.148, rel. 1000
28.01 deg, d 3.186, rel. 887
29.77 deg, d 3.002, rel. 643
26.82 deg, d 3.324, rel. 558
35.63 deg, d 2.520, rel. 432
42.30 deg, d 2.137, rel. 306

Record 8
Structure and simulated powder X-ray diffraction pattern of Rb17Fe5O16 (a PBE+U-relaxed structure; Cu Kα).

Crystal structure
Cell lengths 19.165, 19.165, 7.126 Å; angles 95.25, 95.25, 158.61 degrees
Positions (direct):
Rb  0.000  0.000  0.708
Rb  0.085  0.915  0.000
Rb  0.172  0.834  0.725
Rb  0.226  0.677  0.578
Rb  0.319  0.786  0.122
Rb  0.321  0.594  0.596
Rb  0.407  0.684  0.139
Rb  0.413  0.505  0.579
Rb  0.494  0.586  0.120
Rb  0.505  0.413  0.579
Rb  0.586  0.494  0.120
Rb  0.594  0.321  0.596
Rb  0.677  0.226  0.578
Rb  0.684  0.407  0.139
Rb  0.786  0.319  0.122
Rb  0.834  0.172  0.725
Rb  0.915  0.085  0.000
Fe  0.089  0.910  0.503
Fe  0.180  0.824  0.210
Fe  0.824  0.180  0.210
Fe  0.910  0.089  0.503
Fe  0.999  0.999  0.204
O  0.043  0.956  0.362
O  0.076  0.446  0.192
O  0.132  0.873  0.326
O  0.163  0.347  0.776
O  0.216  0.791  0.409
O  0.256  0.256  0.186
O  0.347  0.163  0.776
O  0.446  0.076  0.192
O  0.560  0.929  0.937
O  0.651  0.836  0.522
O  0.743  0.743  0.931
O  0.791  0.216  0.409
O  0.836  0.651  0.522
O  0.873  0.132  0.326
O  0.929  0.560  0.937
O  0.956  0.043  0.362

Principal peaks in the range 2θ from 10° to 90°, by intensity:
29.82 deg, d 2.996, rel. 1000
28.84 deg, d 3.096, rel. 805
36.39 deg, d 2.469, rel. 456
29.03 deg, d 3.076, rel. 247
53.49 deg, d 1.713, rel. 211
32.41 deg, d 2.762, rel. 192

Repeat the eighth record exactly.
Structure and simulated powder X-ray diffraction pattern of Rb17Fe5O16 (a PBE+U-relaxed structure; Cu Kα).

Crystal structure
Cell lengths 19.165, 19.165, 7.126 Å; angles 95.25, 95.25, 158.61 degrees
Positions (direct):
Rb  0.000  0.000  0.708
Rb  0.085  0.915  0.000
Rb  0.172  0.834  0.725
Rb  0.226  0.677  0.578
Rb  0.319  0.786  0.122
Rb  0.321  0.594  0.596
Rb  0.407  0.684  0.139
Rb  0.413  0.505  0.579
Rb  0.494  0.586  0.120
Rb  0.505  0.413  0.579
Rb  0.586  0.494  0.120
Rb  0.594  0.321  0.596
Rb  0.677  0.226  0.578
Rb  0.684  0.407  0.139
Rb  0.786  0.319  0.122
Rb  0.834  0.172  0.725
Rb  0.915  0.085  0.000
Fe  0.089  0.910  0.503
Fe  0.180  0.824  0.210
Fe  0.824  0.180  0.210
Fe  0.910  0.089  0.503
Fe  0.999  0.999  0.204
O  0.043  0.956  0.362
O  0.076  0.446  0.192
O  0.132  0.873  0.326
O  0.163  0.347  0.776
O  0.216  0.791  0.409
O  0.256  0.256  0.186
O  0.347  0.163  0.776
O  0.446  0.076  0.192
O  0.560  0.929  0.937
O  0.651  0.836  0.522
O  0.743  0.743  0.931
O  0.791  0.216  0.409
O  0.836  0.651  0.522
O  0.873  0.132  0.326
O  0.929  0.560  0.937
O  0.956  0.043  0.362

Principal peaks in the range 2θ from 10° to 90°, by intensity:
29.82 deg, d 2.996, rel. 1000
28.84 deg, d 3.096, rel. 805
36.39 deg, d 2.469, rel. 456
29.03 deg, d 3.076, rel. 247
53.49 deg, d 1.713, rel. 211
32.41 deg, d 2.762, rel. 192

Please write out number 7 again, unchanged.
Structure and simulated powder X-ray diffraction pattern of Rb2Fe2O3 (a PBE+U-relaxed structure; Cu Kα).

Crystal structure
Cell lengths 12.097, 6.371, 8.232 Å; angles 90.00, 90.00, 90.00 degrees
Positions (direct):
Rb  0.058  0.250  0.123
Rb  0.121  0.750  0.497
Rb  0.379  0.250  0.997
Rb  0.442  0.750  0.623
Rb  0.558  0.250  0.377
Rb  0.621  0.750  0.003
Rb  0.879  0.250  0.503
Rb  0.942  0.750  0.877
Fe  0.145  0.250  0.720
Fe  0.227  0.750  0.902
Fe  0.273  0.250  0.402
Fe  0.355  0.750  0.220
Fe  0.645  0.250  0.780
Fe  0.727  0.750  0.598
Fe  0.773  0.250  0.098
Fe  0.855  0.750  0.280
O  0.124  0.250  0.486
O  0.146  0.501  0.848
O  0.146  0.999  0.848
O  0.354  0.001  0.348
O  0.354  0.499  0.348
O  0.376  0.750  0.986
O  0.624  0.250  0.014
O  0.646  0.501  0.652
O  0.646  0.999  0.652
O  0.854  0.001  0.152
O  0.854  0.499  0.152
O  0.876  0.750  0.514

Principal peaks in the range 2θ from 10° to 90°, by intensity:
28.35 deg, d 3.148, rel. 1000
28.01 deg, d 3.186, rel. 887
29.77 deg, d 3.002, rel. 643
26.82 deg, d 3.324, rel. 558
35.63 deg, d 2.520, rel. 432
42.30 deg, d 2.137, rel. 306